Calculated X-ray powder pattern of Na14SnPb for Cu Ka, from a cell relaxed with GGA-PBE.

Cell and atoms:
Cell lengths 11.3995, 11.4076, 8.0246 Å; angles 90.00, 90.00, 90.00 degrees
Space group Cmmm (No. 65)
Asymmetric unit:
1 Na 0.0000 0.0000 0.0000 x2
2 Na 0.0000 0.2475 0.2767 x8
3 Na 0.0000 0.5000 0.0000 x2
4 Na 0.2475 0.0000 0.2767 x8
5 Na 0.2500 0.2500 0.0000 x4
6 Na 0.2500 0.2500 0.5000 x4
7 Sn 0.0000 0.0000 0.5000 x2
8 Pb 0.0000 0.5000 0.5000 x2

Largest 6 diffraction maxima, sorted by position, 10° ≤ 2θ ≤ 90°:
hkl 0 0 1, d = 8.029 Å, I 45; hkl 2 0 0, d = 5.700 Å, I 35; hkl 2 0 1, d = 4.648 Å, I 38; hkl 2 0 2, d = 3.283 Å, I 20; hkl 4 0 0, d = 2.846 Å, I 100; hkl 6 2 2, d = 1.645 Å, I 25